For ZrUCu2O8, a DFT-relaxed cell (GGA-PBE, Alexandria) gives the simulated XRD peak list in this record (Cu Ka).

Largest 10 diffraction maxima, in order of rising 2θ, 15 to 90 degrees two-theta:
hkl 1 0 1, 2θ = 18.70°, d = 4.745 Å, I = 69; hkl 2 0 0, 2θ = 26.61°, d = 3.350 Å, I = 97; hkl 1 1 2, 2θ = 32.66°, d = 2.742 Å, I = 100; hkl 2 2 0, 2θ = 37.96°, d = 2.370 Å, I = 29; hkl 3 0 1, 2θ = 42.66°, d = 2.120 Å, I = 17; hkl 3 1 2, 2θ = 50.93°, d = 1.793 Å, I = 71; hkl 4 0 0, 2θ = 54.80°, d = 1.675 Å, I = 15; hkl 2 0 4, 2θ = 61.72°, d = 1.503 Å, I = 17; hkl 4 2 0, 2θ = 61.92°, d = 1.498 Å, I = 15; hkl 3 3 2, 2θ = 65.26°, d = 1.430 Å, I = 22

Crystal structure
abc: 6.7008 6.7008 6.7263
angles: 90.00 90.00 90.00
Space group I-4m2 (No. 119)
Unique sites:
Zr: 0.0000 0.0000 0.0000 x2
U: 0.0000 0.5000 0.2500 x2
Cu: 0.0000 0.0000 0.5000 x2
Cu: 0.0000 0.5000 0.7500 x2
O: 0.0000 0.1878 0.2903 x8
O: 0.0000 0.3152 0.9544 x8